No. 1
Diffraction record for MnFeP2O8. The powder XRD pattern is computed, not measured: it uses a crystal structure in the Materials Project, relaxed with GGA+U and Cu Ka.
Lines closer than 0.1° are merged.

Most intense lines, 2θ from 10° to 90°, by angle:
- (0 0 2), 17.88 deg, I = 69.3
- (0 1 1), 20.25 deg, I = 100.0
- (1 0 2), 23.31 deg, I = 19.1
- (1 1 1), 25.19 deg, I = 75.2
- (1 1 2), 29.70 deg, I = 25.9
- (2 0 0), 29.91 deg, I = 75.1
- (1 1 3), 36.07 deg, I = 81.3
- (2 1 1), 36.39 deg, I = 32.9
- (0 2 1), 37.90 deg, I = 20.1
- (3 1 3), 57.19 deg, I = 21.0
- (1 0 6), 57.86 deg, I = 20.3
- (4 0 0), 62.18 deg, I = 24.2

Structural model:
```
data_MnFeP2O8
_chemical_formula_sum 'Mn2 Fe2 P4 O16'
_cell_length_a 5.974
_cell_length_b 4.889
_cell_length_c 9.922
_cell_angle_alpha 90.00
_cell_angle_beta 90.00
_cell_angle_gamma 90.00
_symmetry_space_group_name_H-M 'P m c 21'
_symmetry_Int_Tables_number 26
_symmetry_space_group_name_Hall 'P 2c -2'
loop_
_atom_site_label
_atom_site_fract_x
_atom_site_fract_y
_atom_site_fract_z
Mn1 0.000 0.183 0.000
Fe1 0.500 0.292 0.561
P1 0.000 0.335 0.683
P2 0.500 0.160 0.881
O1 0.000 0.021 0.663
O2 0.000 0.391 0.836
O3 0.204 0.476 0.613
O4 0.300 0.011 0.955
O5 0.500 0.093 0.731
O6 0.500 0.468 0.905
```

=====

No. 2
Diffraction record for MnFeP2O8. The powder XRD pattern is computed, not measured: it uses a crystal structure in the Materials Project, relaxed with GGA+U and Cu Ka.
Lines closer than 0.1° are merged.

Most intense lines, 2θ from 10° to 90°, by angle:
- (1 1 0), 20.60 deg, I = 95.4
- (1 1 3), 24.23 deg, I = 100.0
- (2 0 2), 25.30 deg, I = 14.1
- (0 2 4), 29.34 deg, I = 11.0
- (2 1 1), 31.97 deg, I = 16.0
- (2 -1 6), 32.95 deg, I = 72.7
- (3 0 0), 36.06 deg, I = 40.6
- (3 -2 8), 47.27 deg, I = 28.8
- (2 2 6), 49.63 deg, I = 29.5
- (1 4 0), 56.43 deg, I = 26.0
- (4 -1 8), 56.57 deg, I = 13.6
- (5 -1 6), 62.87 deg, I = 20.2

Structural model:
```
data_MnFeP2O8
_chemical_formula_sum 'Mn9 Fe9 P18 O72'
_cell_length_a 8.6288
_cell_length_b 8.6288
_cell_length_c 21.0061
_cell_angle_alpha 90.00
_cell_angle_beta 90.00
_cell_angle_gamma 120.00
_symmetry_space_group_name_H-M 'R 3'
_symmetry_Int_Tables_number 146
_symmetry_space_group_name_Hall 'R 3'
loop_
_atom_site_label
_atom_site_fract_x
_atom_site_fract_y
_atom_site_fract_z
Mn1 0.0000 0.0000 0.0000
Mn2 0.0000 0.0000 0.1457
Mn3 0.0000 0.0000 0.5021
Fe1 0.0000 0.0000 0.3571
Fe2 0.0000 0.0000 0.6482
Fe3 0.0000 0.0000 0.8570
P1 0.0010 0.7051 0.7538
P2 0.0019 0.2919 0.2513
O1 0.0015 0.1925 0.1901
O2 0.0033 0.8020 0.6924
O3 0.0031 0.8038 0.8137
O4 0.0085 0.1990 0.3121
O5 0.0118 0.8314 0.4259
O6 0.0212 0.1878 0.9240
O7 0.1701 0.4819 0.2443
O8 0.1730 0.6854 0.7476
```

=====

No. 3
Diffraction record for MnFe3P4O16. The powder XRD pattern is computed, not measured: it uses a crystal structure in the Materials Project, relaxed with GGA+U and Cu Ka.
Lines closer than 0.1° are merged.

Most intense lines, 2θ from 10° to 90°, by angle:
- (0 0 2), 17.89 deg, I = 72.6
- (0 1 1), 20.22 deg, I = 100.0
- (2 0 2), 23.32 deg, I = 23.5
- (2 1 1), 25.18 deg, I = 85.1
- (4 0 0), 29.94 deg, I = 77.0
- (2 1 3), 36.07 deg, I = 94.0
- (4 1 1), 36.40 deg, I = 30.8
- (0 1 4), 40.82 deg, I = 25.2
- (4 2 0), 48.06 deg, I = 20.8
- (4 2 2), 51.68 deg, I = 23.6
- (6 1 3), 57.22 deg, I = 23.7
- (8 0 0), 62.21 deg, I = 21.2

Structural model:
```
data_MnFe3P4O16
_chemical_formula_sum 'Mn2 Fe6 P8 O32'
_cell_length_a 11.938
_cell_length_b 4.897
_cell_length_c 9.919
_cell_angle_alpha 90.00
_cell_angle_beta 90.00
_cell_angle_gamma 90.00
_symmetry_space_group_name_H-M 'P m n 21'
_symmetry_Int_Tables_number 31
_symmetry_space_group_name_Hall 'P 2ac -2'
loop_
_atom_site_label
_atom_site_fract_x
_atom_site_fract_y
_atom_site_fract_z
Mn1 0.000 0.187 0.000
Fe1 0.000 0.781 0.509
Fe2 0.249 0.715 0.057
P1 0.000 0.330 0.687
P2 0.000 0.669 0.182
P3 0.248 0.833 0.379
O1 0.000 0.021 0.665
O2 0.000 0.398 0.838
O3 0.000 0.610 0.334
O4 0.000 0.983 0.162
O5 0.100 0.476 0.613
O6 0.102 0.531 0.110
O7 0.148 0.978 0.454
O8 0.152 0.021 0.955
O9 0.249 0.097 0.729
O10 0.249 0.525 0.401
```

=====

No. 4
Diffraction record for MnFe7P8O32. The powder XRD pattern is computed, not measured: it uses a crystal structure in the Materials Project, relaxed with GGA+U and Cu Ka.
Lines closer than 0.1° are merged.

Most intense lines, 2θ from 10° to 90°, by angle:
- (0 0 2), 17.85 deg, I = 75.5
- (1 0 -1), 20.24 deg, I = 100.0
- (0 2 2), 23.32 deg, I = 25.5
- (1 2 1), 25.21 deg, I = 91.2
- (1 2 -2), 29.70 deg, I = 16.1
- (0 4 0), 30.00 deg, I = 78.6
- (1 2 -3), 36.00 deg, I = 50.1
- (1 2 3), 36.11 deg, I = 51.1
- (1 4 -1), 36.46 deg, I = 30.7
- (2 4 0), 48.15 deg, I = 22.6
- (1 6 3), 57.29 deg, I = 25.3
- (0 2 6), 57.79 deg, I = 17.6

Structural model:
```
data_MnFe7P8O32
_chemical_formula_sum 'Mn1 Fe7 P8 O32'
_cell_length_a 4.890
_cell_length_b 11.913
_cell_length_c 9.936
_cell_angle_alpha 90.00
_cell_angle_beta 90.23
_cell_angle_gamma 90.00
_symmetry_space_group_name_H-M 'P 1 m 1'
_symmetry_Int_Tables_number 6
_symmetry_space_group_name_Hall 'P -2y'
loop_
_atom_site_label
_atom_site_fract_x
_atom_site_fract_y
_atom_site_fract_z
Mn1 0.000 0.000 0.000
Fe1 0.031 0.500 0.990
Fe2 0.092 0.250 0.445
Fe3 0.527 0.249 0.943
Fe4 0.592 0.000 0.491
Fe5 0.593 0.500 0.491
P1 0.140 0.000 0.314
P2 0.142 0.500 0.315
P3 0.479 0.500 0.814
P4 0.480 0.000 0.818
P5 0.644 0.250 0.621
P6 0.981 0.252 0.121
O1 0.210 0.000 0.163
O2 0.211 0.500 0.165
O3 0.286 0.101 0.388
O4 0.287 0.399 0.390
O5 0.289 0.251 0.099
O6 0.335 0.249 0.599
O7 0.335 0.399 0.889
O8 0.343 0.102 0.890
O9 0.410 0.500 0.664
O10 0.420 0.000 0.666
O11 0.715 0.251 0.771
O12 0.788 0.149 0.546
O13 0.788 0.351 0.546
O14 0.789 0.500 0.836
O15 0.795 0.000 0.838
O16 0.831 0.000 0.335
O17 0.832 0.152 0.046
O18 0.833 0.500 0.337
O19 0.835 0.352 0.046
O20 0.911 0.251 0.271
```

=====

No. 5
Diffraction record for MnFe3P4O16. The powder XRD pattern is computed, not measured: it uses a crystal structure in the Materials Project, relaxed with GGA+U and Cu Ka.
Lines closer than 0.1° are merged.

Most intense lines, 2θ from 10° to 90°, by angle:
- (0 0 2), 17.88 deg, I = 84.7
- (1 0 -1), 20.15 deg, I = 63.1
- (1 0 1), 20.27 deg, I = 54.4
- (0 1 2), 23.33 deg, I = 27.7
- (1 1 1), 25.18 deg, I = 100.0
- (0 2 0), 29.98 deg, I = 89.5
- (1 1 -3), 35.96 deg, I = 54.0
- (1 1 3), 36.17 deg, I = 56.5
- (1 2 -1), 36.42 deg, I = 36.1
- (1 0 4), 40.92 deg, I = 19.2
- (2 2 0), 48.07 deg, I = 24.8
- (0 1 6), 57.88 deg, I = 20.9

Structural model:
```
data_MnFe3P4O16
_chemical_formula_sum 'Mn1 Fe3 P4 O16'
_cell_length_a 4.900
_cell_length_b 5.962
_cell_length_c 9.920
_cell_angle_alpha 90.00
_cell_angle_beta 90.42
_cell_angle_gamma 90.00
_symmetry_space_group_name_H-M 'P 1 m 1'
_symmetry_Int_Tables_number 6
_symmetry_space_group_name_Hall 'P -2y'
loop_
_atom_site_label
_atom_site_fract_x
_atom_site_fract_y
_atom_site_fract_z
Mn1 0.000 0.000 0.000
Fe1 0.092 0.500 0.446
Fe2 0.524 0.500 0.942
Fe3 0.592 0.000 0.492
P1 0.139 0.000 0.315
P2 0.479 0.000 0.818
P3 0.645 0.500 0.621
P4 0.980 0.500 0.122
O1 0.208 0.000 0.164
O2 0.286 0.201 0.389
O3 0.287 0.500 0.099
O4 0.337 0.500 0.599
O5 0.342 0.204 0.890
O6 0.420 0.000 0.666
O7 0.717 0.500 0.771
O8 0.788 0.299 0.546
O9 0.793 0.000 0.838
O10 0.830 0.301 0.047
O11 0.831 0.000 0.336
O12 0.912 0.500 0.271
```

=====

No. 6
Diffraction record for MnFeP2O8. The powder XRD pattern is computed, not measured: it uses a crystal structure in the Materials Project, relaxed with GGA+U and Cu Ka.
Lines closer than 0.1° are merged.

Most intense lines, 2θ from 10° to 90°, by angle:
- (1 1 0), 20.65 deg, I = 86.2
- (1 1 3), 24.39 deg, I = 100.0
- (2 0 2), 25.41 deg, I = 17.2
- (2 1 1), 32.08 deg, I = 17.1
- (2 -1 6), 33.30 deg, I = 69.4
- (3 0 0), 36.17 deg, I = 38.7
- (3 -2 8), 47.74 deg, I = 32.0
- (4 -2 6), 49.97 deg, I = 26.2
- (1 4 0), 56.61 deg, I = 24.2
- (4 -1 8), 57.04 deg, I = 15.8
- (5 -1 6), 63.23 deg, I = 20.0
- (6 0 0), 76.75 deg, I = 10.0

Structural model:
```
data_MnFeP2O8
_chemical_formula_sum 'Mn9 Fe9 P18 O72'
_cell_length_a 8.6035
_cell_length_b 8.6035
_cell_length_c 20.6922
_cell_angle_alpha 90.00
_cell_angle_beta 90.00
_cell_angle_gamma 120.00
_symmetry_space_group_name_H-M 'R 3'
_symmetry_Int_Tables_number 146
_symmetry_space_group_name_Hall 'R 3'
loop_
_atom_site_label
_atom_site_fract_x
_atom_site_fract_y
_atom_site_fract_z
Mn1 0.0000 0.0000 0.0000
Mn2 0.0000 0.0000 0.2138
Mn3 0.0000 0.0000 0.7158
Fe1 0.0000 0.0000 0.3583
Fe2 0.0000 0.0000 0.5036
Fe3 0.0000 0.0000 0.8573
P1 0.0005 0.2913 0.1066
P2 0.0396 0.6672 0.2764
O1 0.0062 0.2016 0.1690
O2 0.0140 0.8351 0.2854
O3 0.0207 0.1853 0.7816
O4 0.1359 0.6680 0.3380
O5 0.1374 0.6706 0.2144
O6 0.1433 0.4706 0.7117
O7 0.1686 0.6831 0.6013
O8 0.1708 0.4842 0.0971
```